(1)
Structure and simulated X-ray powder pattern of CuPN3 (a crystal structure in Alexandria, relaxed with GGA-PBE; Cu Kα X-rays).
Neutral-atom scattering factors, no anomalous dispersion.

Main lines, by angle (10° ≤ 2θ ≤ 90°):
2theta	intensity
25.68	9
36.63	100
45.27	28
52.77	39
59.58	5
65.95	34
77.87	22
83.61	2
89.28	15

Cell: 3.470 3.470 3.470 Å, 90.00 90.00 90.00°
Sites, in units of the cell vectors:
Cu1 0.000 0.000 0.000
P1 0.500 0.500 0.500
N1 0.000 0.500 0.500
N2 0.500 0.000 0.500
N3 0.500 0.500 0.000

***

(2)
Structure and simulated X-ray powder pattern of AlPd4Au2 (a crystal structure in Alexandria, relaxed with GGA-PBE; Cu Kα X-rays).
Neutral-atom scattering factors, no anomalous dispersion.

Main lines, by angle (10° ≤ 2θ ≤ 90°):
2theta	intensity
14.30	19
38.34	60
38.83	100
39.73	26
40.11	66
40.55	67
41.64	25
41.95	60
42.60	60
52.55	21

Cell: 5.594 6.586 7.148 Å, 114.19 101.43 101.52°
Sites, in units of the cell vectors:
Al1 0.000 0.000 0.000
Al2 0.258 0.529 0.836
Pd1 0.034 0.712 0.622
Pd2 0.138 0.257 0.423
Pd3 0.362 0.381 0.123
Pd4 0.504 0.950 0.998
Pd5 0.514 0.699 0.575
Pd6 0.764 0.582 0.876
Pd7 0.870 0.387 0.149
Pd8 0.912 0.155 0.735
Au1 0.237 0.809 0.250
Au2 0.404 0.131 0.713
Au3 0.643 0.275 0.433
Au4 0.756 0.822 0.302

***

(3)
Structure and simulated X-ray powder pattern of SrAc6La12 (a crystal structure in Alexandria, relaxed with GGA-PBE; Cu Kα X-rays).
Neutral-atom scattering factors, no anomalous dispersion.

Main lines, by angle (10° ≤ 2θ ≤ 90°):
2theta	intensity
18.90	27
24.86	35
29.70	100
30.26	100
32.59	50
33.37	38
34.35	31
36.51	32
51.59	23
57.01	38

Cell: 9.849 9.849 9.849 Å, 105.37 105.37 105.37°
Sites, in units of the cell vectors:
Sr1 0.000 0.000 0.000
Ac1 0.301 0.301 0.692
Ac2 0.301 0.692 0.301
Ac3 0.308 0.699 0.699
Ac4 0.692 0.301 0.301
Ac5 0.699 0.308 0.699
Ac6 0.699 0.699 0.308
La1 0.088 0.348 0.348
La2 0.114 0.500 0.886
La3 0.114 0.886 0.500
La4 0.348 0.088 0.348
La5 0.348 0.348 0.088
La6 0.500 0.114 0.886
La7 0.500 0.886 0.114
La8 0.652 0.652 0.912
La9 0.652 0.912 0.652
La10 0.886 0.114 0.500
La11 0.886 0.500 0.114
La12 0.912 0.652 0.652

***

(4)
Structure and simulated X-ray powder pattern of Sr2Y2Ta (a crystal structure in Alexandria, relaxed with GGA-PBE; Cu Kα X-rays).
Neutral-atom scattering factors, no anomalous dispersion.

Main lines, by angle (10° ≤ 2θ ≤ 90°):
2theta	intensity
14.13	37
21.69	46
27.29	32
28.48	59
29.72	100
33.07	30
37.12	48
39.90	24
47.44	47
51.26	49

Cell: 7.659 7.659 6.269 Å, 90.00 90.00 90.00°
Sites, in units of the cell vectors:
Sr1 0.177 0.323 0.000
Sr2 0.323 0.823 0.000
Sr3 0.677 0.177 0.000
Sr4 0.823 0.677 0.000
Y1 0.170 0.670 0.500
Y2 0.330 0.170 0.500
Y3 0.670 0.830 0.500
Y4 0.830 0.330 0.500
Ta1 0.000 0.000 0.500
Ta2 0.500 0.500 0.500

***

(5)
Structure and simulated X-ray powder pattern of TbDy2As3 (a crystal structure in Alexandria, relaxed with GGA-PBE; Cu Kα X-rays).
Neutral-atom scattering factors, no anomalous dispersion.

Main lines, by angle (10° ≤ 2θ ≤ 90°):
2theta	intensity
26.46	23
30.65	100
43.89	75
51.98	11
54.48	26
63.81	12
70.33	5
72.44	34
80.68	25
86.72	4

Cell: 7.144 7.144 7.144 Å, 146.41 131.82 60.01°
Sites, in units of the cell vectors:
Tb1 0.000 0.000 0.000
Dy1 0.333 0.333 0.000
Dy2 0.667 0.667 0.000
As1 0.167 0.667 0.500
As2 0.500 0.000 0.500
As3 0.833 0.333 0.500

***

(6)
Structure and simulated X-ray powder pattern of Tl2ZnCl8 (a crystal structure in Alexandria, relaxed with GGA-PBE; Cu Kα X-rays).
Neutral-atom scattering factors, no anomalous dispersion.

Main lines, by angle (10° ≤ 2θ ≤ 90°):
2theta	intensity
13.53	100
13.99	36
19.41	16
26.05	18
26.30	18
29.75	56
31.27	22
38.34	25
48.75	16
49.60	18

Cell: 9.909 9.909 12.664 Å, 129.24 129.24 47.77°
Sites, in units of the cell vectors:
Tl1 0.238 0.762 0.000
Tl2 0.238 0.762 0.500
Tl3 0.762 0.238 0.000
Tl4 0.762 0.238 0.500
Zn1 0.499 0.501 0.750
Zn2 0.501 0.499 0.250
Cl1 0.118 0.119 0.540
Cl2 0.119 0.118 0.040
Cl3 0.171 0.614 0.731
Cl4 0.172 0.614 0.231
Cl5 0.386 0.828 0.269
Cl6 0.386 0.829 0.769
Cl7 0.387 0.387 0.484
Cl8 0.387 0.387 0.984
Cl9 0.613 0.613 0.016
Cl10 0.613 0.613 0.516
Cl11 0.614 0.171 0.231
Cl12 0.614 0.172 0.731
Cl13 0.828 0.386 0.769
Cl14 0.829 0.386 0.269
Cl15 0.881 0.882 0.960
Cl16 0.882 0.881 0.460

***

(7)
Structure and simulated X-ray powder pattern of CeEuCdRu (a crystal structure in Alexandria, relaxed with GGA-PBE; Cu Kα X-rays).
Neutral-atom scattering factors, no anomalous dispersion.

Main lines, by angle (10° ≤ 2θ ≤ 90°):
2theta	intensity
24.46	2
34.87	100
43.05	1
50.14	18
56.55	1
62.52	36
73.62	11
78.92	1
84.12	16

Cell: 5.146 5.146 5.146 Å, 60.00 60.00 60.00°
Sites, in units of the cell vectors:
Ce1 0.000 0.000 0.000
Eu1 0.500 0.500 0.500
Cd1 0.750 0.750 0.750
Ru1 0.250 0.250 0.250

***

(8)
Structure and simulated X-ray powder pattern of BaYS2F (a crystal structure in Alexandria, relaxed with GGA-PBE; Cu Kα X-rays).
Neutral-atom scattering factors, no anomalous dispersion.

Main lines, by angle (10° ≤ 2θ ≤ 90°):
2theta	intensity
24.55	31
24.94	100
28.54	20
30.83	70
39.80	50
43.45	38
44.16	32
51.17	17
51.38	28
63.68	24

Cell: 4.102 4.102 14.505 Å, 90.00 90.00 90.00°
Sites, in units of the cell vectors:
Ba1 0.250 0.250 0.115
Ba2 0.750 0.750 0.885
Y1 0.250 0.250 0.612
Y2 0.750 0.750 0.388
S1 0.250 0.250 0.412
S2 0.250 0.250 0.784
S3 0.750 0.750 0.216
S4 0.750 0.750 0.588
F1 0.250 0.750 0.000
F2 0.750 0.250 0.000

***

(9)
Structure and simulated X-ray powder pattern of Pr3Al7Cu4 (a crystal structure in Alexandria, relaxed with GGA-PBE; Cu Kα X-rays).
Neutral-atom scattering factors, no anomalous dispersion.

Main lines, by angle (10° ≤ 2θ ≤ 90°):
2theta	intensity
18.35	18
22.56	28
22.68	35
29.50	51
34.71	69
34.82	69
35.22	100
42.13	45
42.28	23
56.05	18

Cell: 8.233 8.233 9.670 Å, 124.78 124.78 30.20°
Sites, in units of the cell vectors:
Pr1 0.000 0.000 0.000
Pr2 0.310 0.310 0.310
Pr3 0.690 0.690 0.690
Al1 0.000 0.000 0.500
Al2 0.153 0.153 0.418
Al3 0.326 0.326 0.974
Al4 0.497 0.497 0.713
Al5 0.503 0.503 0.287
Al6 0.674 0.674 0.026
Al7 0.847 0.847 0.582
Cu1 0.125 0.125 0.847
Cu2 0.341 0.341 0.716
Cu3 0.659 0.659 0.284
Cu4 0.875 0.875 0.153

***

(10)
Structure and simulated X-ray powder pattern of Ni7Sb2Pt2Rh (a crystal structure in Alexandria, relaxed with GGA-PBE; Cu Kα X-rays).
Neutral-atom scattering factors, no anomalous dispersion.

Main lines, by angle (10° ≤ 2θ ≤ 90°):
2theta	intensity
29.97	76
35.86	91
36.46	44
38.82	38
41.00	82
44.15	70
44.26	70
44.67	64
51.62	100
70.34	35

Cell: 3.542 3.542 14.033 Å, 97.11 97.11 90.00°
Sites, in units of the cell vectors:
Ni1 0.000 0.000 0.000
Ni2 0.065 0.565 0.132
Ni3 0.230 0.230 0.463
Ni4 0.435 0.935 0.868
Ni5 0.565 0.065 0.132
Ni6 0.770 0.770 0.537
Ni7 0.935 0.435 0.868
Sb1 0.324 0.324 0.640
Sb2 0.676 0.676 0.360
Pt1 0.132 0.132 0.270
Pt2 0.868 0.868 0.730
Rh1 0.500 0.500 0.000

***

(11)
Structure and simulated X-ray powder pattern of PuRe2C2 (a crystal structure in Alexandria, relaxed with GGA-PBE; Cu Kα X-rays).
Neutral-atom scattering factors, no anomalous dispersion.

Main lines, by angle (10° ≤ 2θ ≤ 90°):
2theta	intensity
32.98	93
33.29	100
40.69	31
44.11	46
50.85	28
54.19	14
59.30	19
61.56	16
69.36	13
69.91	13

Cell: 6.476 5.807 5.580 Å, 69.28 57.02 53.70°
Sites, in units of the cell vectors:
Pu1 0.125 0.125 0.125
Pu2 0.875 0.875 0.875
Re1 0.232 0.232 0.518
Re2 0.482 0.482 0.768
Re3 0.518 0.518 0.232
Re4 0.768 0.768 0.482
C1 0.183 0.567 0.183
C2 0.433 0.817 0.433
C3 0.567 0.183 0.567
C4 0.817 0.433 0.817

***

(12)
Structure and simulated X-ray powder pattern of Na2UNiS4 (a crystal structure in Alexandria, relaxed with GGA-PBE; Cu Kα X-rays).
Neutral-atom scattering factors, no anomalous dispersion.

Main lines, by angle (10° ≤ 2θ ≤ 90°):
2theta	intensity
18.02	100
18.93	53
25.59	38
32.03	52
33.63	33
36.51	41
38.41	77
46.73	21
50.47	33
66.97	19

Cell: 5.855 5.855 5.855 Å, 107.05 107.05 114.43°
Sites, in units of the cell vectors:
Na1 0.000 0.500 0.500
Na2 0.500 0.000 0.500
U1 0.000 0.000 0.000
Ni1 0.500 0.500 0.000
S1 0.103 0.103 0.631
S2 0.472 0.472 0.369
S3 0.528 0.897 0.000
S4 0.897 0.528 0.000

***

Number 12 is which compound? Na2UNiS4

***

Repeat the eighth record exactly.
Structure and simulated X-ray powder pattern of BaYS2F (a crystal structure in Alexandria, relaxed with GGA-PBE; Cu Kα X-rays).
Neutral-atom scattering factors, no anomalous dispersion.

Main lines, by angle (10° ≤ 2θ ≤ 90°):
2theta	intensity
24.55	31
24.94	100
28.54	20
30.83	70
39.80	50
43.45	38
44.16	32
51.17	17
51.38	28
63.68	24

Cell: 4.102 4.102 14.505 Å, 90.00 90.00 90.00°
Sites, in units of the cell vectors:
Ba1 0.250 0.250 0.115
Ba2 0.750 0.750 0.885
Y1 0.250 0.250 0.612
Y2 0.750 0.750 0.388
S1 0.250 0.250 0.412
S2 0.250 0.250 0.784
S3 0.750 0.750 0.216
S4 0.750 0.750 0.588
F1 0.250 0.750 0.000
F2 0.750 0.250 0.000